1.
# TiNi
Calculated PXRD pattern, Cu Ka. Input: a crystal structure in the Materials Project, relaxed with PBE.
Peak positions follow from Bragg's law for the DFT cell and can differ from measured ones.

Atomic structure:
```
TiNi
1.0
2.800 0.000 0.000
-0.001 4.171 0.000
-0.452 -0.009 4.649
Ti Ni
2 2
Direct
0.065 0.250 0.288
0.935 0.750 0.712
0.479 0.251 0.822
0.521 0.749 0.178
```

Largest 12 diffraction maxima, by angle, 2θ from 10° to 80°:
19.09°, I = 11; 38.74°, I = 43; 39.27°, I = 15; 42.15°, I = 100; 43.39°, I = 57; 44.63°, I = 44; 45.10°, I = 79; 53.55°, I = 13; 59.49°, I = 11; 59.62°, I = 13; 67.18°, I = 10; 78.77°, I = 14


2.
# TiNi
Calculated PXRD pattern, Cu Ka. Input: a crystal structure in the Materials Project, relaxed with PBE.
Peak positions follow from Bragg's law for the DFT cell and can differ from measured ones.

Atomic structure:
```
TiNi
1.0
2.740 0.000 0.000
0.406 4.673 0.000
0.021 -0.001 12.793
Ti Ni
6 6
Direct
0.021 0.224 0.251
0.078 0.203 0.918
0.094 0.195 0.585
0.906 0.805 0.415
0.922 0.797 0.082
0.979 0.776 0.749
0.446 0.689 0.248
0.488 0.334 0.418
0.493 0.327 0.085
0.507 0.673 0.915
0.512 0.666 0.582
0.554 0.311 0.752
```

Largest 12 diffraction maxima, by angle, 2θ from 10° to 80°:
18.99°, I = 11; 38.53°, I = 40; 39.65°, I = 16; 42.39°, I = 61; 42.54°, I = 100; 44.20°, I = 49; 45.21°, I = 70; 53.87°, I = 12; 58.61°, I = 21; 66.49°, I = 8; 68.79°, I = 8; 72.41°, I = 9


3.
# TiNi
Calculated PXRD pattern, Cu Ka. Input: a crystal structure in the Materials Project, relaxed with PBE.
Peak positions follow from Bragg's law for the DFT cell and can differ from measured ones.

Atomic structure:
```
TiNi
1.0
4.504 0.000 0.000
-2.252 3.900 0.000
0.000 0.000 4.755
Ti Ni
3 3
Direct
0.000 0.000 0.000
0.333 0.667 0.423
0.667 0.333 0.423
0.000 0.000 0.490
0.333 0.667 0.929
0.667 0.333 0.929
```

Largest 12 diffraction maxima, by angle, 2θ from 10° to 80°:
18.66°, I = 1; 29.62°, I = 5; 37.84°, I = 33; 40.04°, I = 100; 44.64°, I = 11; 50.59°, I = 1; 56.27°, I = 58; 61.50°, I = 4; 63.34°, I = 1; 66.39°, I = 1; 72.73°, I = 15; 75.95°, I = 4


4.
# TiNi
Calculated PXRD pattern, Cu Ka. Input: a crystal structure in the Materials Project, relaxed with PBE.
Peak positions follow from Bragg's law for the DFT cell and can differ from measured ones.

Atomic structure:
```
TiNi
1.0
5.390 0.000 0.000
-0.005 7.249 0.000
-0.015 -3.621 6.283
Ti Ni
9 9
Direct
0.000 0.000 0.000
0.000 0.319 0.657
0.000 0.657 0.338
0.307 0.325 0.331
0.313 0.992 0.664
0.409 0.658 0.998
0.700 0.661 0.679
0.701 0.340 0.000
0.703 0.978 0.319
0.221 0.344 0.993
0.221 0.661 0.688
0.223 0.969 0.311
0.494 0.019 0.999
0.494 0.299 0.638
0.494 0.658 0.358
0.767 0.326 0.334
0.778 0.995 0.667
0.954 0.658 0.997
```

Largest 12 diffraction maxima, by angle, 2θ from 10° to 80°:
29.69°, I = 5; 36.27°, I = 6; 41.74°, I = 60; 41.80°, I = 30; 43.21°, I = 100; 44.26°, I = 9; 51.33°, I = 5; 61.59°, I = 8; 61.69°, I = 16; 74.75°, I = 5; 78.32°, I = 14; 79.26°, I = 13


5.
# TiNi4
Calculated PXRD pattern, Cu Ka. Input: a crystal structure in the Materials Project, relaxed with PBE.
Peak positions follow from Bragg's law for the DFT cell and can differ from measured ones.

Atomic structure:
```
TiNi4
1.0
1.286 0.742 10.367
-1.286 0.742 10.367
0.000 -1.485 10.367
Ti Ni
1 4
Direct
0.000 0.000 0.000
0.199 0.199 0.199
0.404 0.404 0.404
0.596 0.596 0.596
0.801 0.801 0.801
```

Largest 9 diffraction maxima, by angle, 2θ from 10° to 80°:
17.11°, I = 2; 43.14°, I = 100; 43.65°, I = 31; 47.02°, I = 2; 50.39°, I = 60; 53.00°, I = 1; 56.44°, I = 2; 73.66°, I = 18; 74.40°, I = 16


6.
# TiNi
Calculated PXRD pattern, Cu Ka. Input: a crystal structure in the Materials Project, relaxed with PBE.
Peak positions follow from Bragg's law for the DFT cell and can differ from measured ones.

Atomic structure:
```
TiNi
1.0
7.278 0.000 0.000
-3.639 6.303 0.000
0.000 0.000 5.319
Ti Ni
9 9
Direct
0.000 0.000 0.000
0.013 0.344 0.346
0.331 0.987 0.346
0.333 0.667 0.044
0.344 0.331 0.654
0.656 0.669 0.346
0.667 0.333 0.956
0.669 0.013 0.654
0.987 0.656 0.654
0.000 0.000 0.500
0.026 0.340 0.859
0.314 0.974 0.859
0.333 0.667 0.586
0.340 0.314 0.141
0.660 0.686 0.859
0.667 0.333 0.414
0.686 0.026 0.141
0.974 0.660 0.141
```

Largest 12 diffraction maxima, by angle, 2θ from 10° to 80°:
29.75°, I = 5; 36.68°, I = 4; 37.76°, I = 4; 42.08°, I = 94; 43.05°, I = 100; 44.58°, I = 10; 51.50°, I = 7; 61.78°, I = 25; 74.73°, I = 6; 76.23°, I = 7; 78.25°, I = 22; 78.92°, I = 13


7.
# TiNi
Calculated PXRD pattern, Cu Ka. Input: a crystal structure in the Materials Project, relaxed with PBE.
Peak positions follow from Bragg's law for the DFT cell and can differ from measured ones.

Atomic structure:
```
TiNi
1.0
2.736 0.000 0.000
0.000 2.736 0.000
0.000 0.000 3.581
Ti Ni
1 1
Direct
0.000 0.000 0.000
0.500 0.500 0.500
```

Largest 9 diffraction maxima, by angle, 2θ from 10° to 80°:
24.86°, I = 2; 32.73°, I = 2; 41.54°, I = 100; 46.97°, I = 34; 51.00°, I = 13; 53.86°, I = 1; 61.93°, I = 1; 68.61°, I = 10; 71.84°, I = 17


8.
# TiNi
Calculated PXRD pattern, Cu Ka. Input: a crystal structure in the Materials Project, relaxed with PBE.
Peak positions follow from Bragg's law for the DFT cell and can differ from measured ones.

Atomic structure:
```
TiNi
1.0
3.822 0.000 0.000
0.000 3.822 0.000
0.000 0.000 3.636
Ti Ni
2 2
Direct
0.250 0.250 0.019
0.750 0.750 0.981
0.250 0.750 0.500
0.750 0.250 0.500
```

Largest 9 diffraction maxima, by angle, 2θ from 10° to 80°:
24.48°, I = 3; 33.15°, I = 2; 41.64°, I = 100; 47.58°, I = 33; 50.18°, I = 14; 54.22°, I = 1; 61.47°, I = 1; 69.57°, I = 10; 71.64°, I = 17


9.
# TiNi
Calculated PXRD pattern, Cu Ka. Input: a crystal structure in the Materials Project, relaxed with PBE.
Peak positions follow from Bragg's law for the DFT cell and can differ from measured ones.

Atomic structure:
```
TiNi
1.0
1.459 -4.698 0.000
1.459 4.698 0.000
0.000 0.000 4.014
Ti Ni
2 2
Direct
0.143 0.857 0.750
0.857 0.143 0.250
0.415 0.585 0.750
0.585 0.415 0.250
```

Largest 12 diffraction maxima, by angle, 2θ from 10° to 80°:
18.89°, I = 15; 32.12°, I = 13; 38.32°, I = 33; 39.36°, I = 100; 42.34°, I = 13; 44.70°, I = 39; 45.18°, I = 42; 48.28°, I = 80; 60.69°, I = 15; 63.80°, I = 16; 78.42°, I = 12; 79.45°, I = 11


10.
# TiNi
Calculated PXRD pattern, Cu Ka. Input: a crystal structure in the Materials Project, relaxed with PBE.
Peak positions follow from Bragg's law for the DFT cell and can differ from measured ones.

Atomic structure:
```
TiNi
1.0
-3.079 3.079 5.767
3.079 -3.079 5.767
3.079 3.079 -5.767
Ti Ni
8 8
Direct
0.000 0.000 0.000
0.000 0.500 0.500
0.228 0.228 0.000
0.250 0.750 0.500
0.500 0.000 0.500
0.500 0.500 0.000
0.750 0.250 0.500
0.772 0.772 0.000
0.146 0.146 0.551
0.146 0.595 0.000
0.405 0.405 0.551
0.405 0.854 0.000
0.595 0.146 0.000
0.595 0.595 0.449
0.854 0.405 0.000
0.854 0.854 0.449
```

Largest 12 diffraction maxima, by angle, 2θ from 10° to 80°:
16.32°, I = 3; 29.00°, I = 3; 40.28°, I = 3; 41.48°, I = 55; 42.97°, I = 100; 44.85°, I = 4; 50.39°, I = 4; 54.30°, I = 3; 60.10°, I = 15; 64.65°, I = 7; 76.69°, I = 24; 79.78°, I = 12


11.
# TiNi
Calculated PXRD pattern, Cu Ka. Input: a crystal structure in the Materials Project, relaxed with PBE.
Peak positions follow from Bragg's law for the DFT cell and can differ from measured ones.

Atomic structure:
```
TiNi
1.0
2.915 0.000 0.000
0.000 4.055 0.000
-0.902 0.000 4.668
Ti Ni
2 2
Direct
0.104 0.250 0.285
0.896 0.750 0.715
0.443 0.250 0.828
0.557 0.750 0.172
```

Largest 12 diffraction maxima, by angle, 2θ from 10° to 80°:
19.01°, I = 20; 38.54°, I = 90; 39.95°, I = 14; 40.37°, I = 100; 44.70°, I = 63; 44.81°, I = 54; 46.02°, I = 82; 50.81°, I = 36; 60.49°, I = 23; 64.36°, I = 16; 74.75°, I = 12; 79.42°, I = 12


12.
# TiNi
Calculated PXRD pattern, Cu Ka. Input: a crystal structure in the Materials Project, relaxed with PBE.
Peak positions follow from Bragg's law for the DFT cell and can differ from measured ones.

Atomic structure:
```
TiNi
1.0
7.247 0.000 0.000
-3.623 6.276 0.000
0.000 0.000 5.397
Ti Ni
9 9
Direct
0.000 0.000 0.000
0.000 0.346 0.397
0.000 0.685 0.700
0.315 0.315 0.700
0.333 0.667 0.082
0.346 0.000 0.397
0.654 0.654 0.397
0.667 0.333 0.082
0.685 0.000 0.700
0.000 0.000 0.449
0.000 0.360 0.905
0.000 0.688 0.183
0.312 0.312 0.183
0.333 0.667 0.622
0.360 0.000 0.905
0.640 0.640 0.905
0.667 0.333 0.622
0.688 0.000 0.183
```

Largest 12 diffraction maxima, by angle, 2θ from 10° to 80°:
29.70°, I = 5; 36.23°, I = 5; 37.93°, I = 5; 41.73°, I = 94; 43.25°, I = 100; 44.27°, I = 13; 51.28°, I = 9; 61.66°, I = 25; 74.73°, I = 8; 75.13°, I = 5; 78.29°, I = 21; 79.33°, I = 13